Record 1
Starting from the GGA-PBE geometry in the Materials Project, the XRD peak list of Te3MoWS was calculated for copper Kα.
Kinematic intensities with the Lorentz-polarization factor, no thermal factor.

Top 12 peaks for 10 to 80 degrees two-theta, by intensity:
Position (°2θ)	I/Imax
35.18	100
11.36	85
42.69	51
29.84	40
52.97	32
37.90	25
75.12	17
65.19	16
32.94	13
32.02	13
30.20	13
70.28	13

Atomic structure:
```
Te3MoWS
1.0
3.4578 0.0000 0.0000
-1.7289 2.9945 0.0000
0.0000 0.0000 38.9499
Te Mo W S
6 2 2 2
Direct
0.0000 0.0000 0.0000
0.0000 0.0000 0.0954
0.0000 0.0000 0.3760
0.0000 0.0000 0.4709
0.6667 0.3333 0.5639
0.6667 0.3333 0.6593
0.0000 0.0000 0.2358
0.6667 0.3333 0.4234
0.0000 0.0000 0.6116
0.6667 0.3333 0.0477
0.6667 0.3333 0.1976
0.6667 0.3333 0.2740
```


Record 2
Starting from the GGA-PBE geometry in the Materials Project, the XRD peak list of TmCo2Ge2 was calculated for copper Kα.
Kinematic intensities with the Lorentz-polarization factor, no thermal factor.

Top 12 peaks for 10 to 80 degrees two-theta, by intensity:
Position (°2θ)	I/Imax
35.13	100
36.89	95
46.11	59
59.26	44
50.93	33
32.15	31
71.12	24
79.27	19
64.87	19
67.26	18
24.27	13
78.21	10

Atomic structure:
```
TmCo2Ge2
1.0
-1.9685 1.9685 5.0353
1.9685 -1.9685 5.0353
1.9685 1.9685 -5.0353
Tm Co Ge
1 2 2
Direct
0.0000 0.0000 0.0000
0.2500 0.7500 0.5000
0.7500 0.2500 0.5000
0.3735 0.3735 0.0000
0.6265 0.6265 0.0000
```


Record 3
Starting from the GGA-PBE geometry in the Materials Project, the XRD peak list of PmGeAu2 was calculated for copper Kα.
Kinematic intensities with the Lorentz-polarization factor, no thermal factor.

Top 11 peaks for 10 to 80 degrees two-theta, by intensity:
Position (°2θ)	I/Imax
36.14	100
65.00	37
52.04	18
76.70	11
25.34	9
58.75	4
21.90	3
44.66	3
42.66	2
57.12	1
69.49	1

Atomic structure:
```
PmGeAu2
1.0
0.0000 3.5145 3.5145
3.5145 0.0000 3.5145
3.5145 3.5145 0.0000
Pm Ge Au
1 1 2
Direct
0.0000 0.0000 0.0000
0.5000 0.5000 0.5000
0.2500 0.2500 0.2500
0.7500 0.7500 0.7500
```


Record 4
Starting from the GGA-PBE geometry in the Materials Project, the XRD peak list of BaDy2ZnO5 was calculated for copper Kα.
Kinematic intensities with the Lorentz-polarization factor, no thermal factor.

Top 12 peaks for 10 to 80 degrees two-theta, by intensity:
Position (°2θ)	I/Imax
29.32	100
30.29	82
31.05	54
44.71	33
31.35	22
54.19	22
32.74	20
36.67	18
40.93	18
58.35	17
54.76	16
46.00	15

Atomic structure:
```
BaDy2ZnO5
1.0
12.4454 0.0000 0.0000
0.0000 5.7605 0.0000
0.0000 0.0000 7.1500
Ba Dy Zn O
4 8 4 20
Direct
0.1015 0.2500 0.0771
0.3985 0.7500 0.5771
0.6015 0.2500 0.4229
0.8985 0.7500 0.9229
0.0744 0.7500 0.3997
0.2080 0.2500 0.6183
0.2920 0.7500 0.1183
0.4256 0.2500 0.8997
0.5744 0.7500 0.1003
0.7080 0.2500 0.8817
0.7920 0.7500 0.3817
0.9256 0.2500 0.6003
0.1499 0.7500 0.8084
0.3501 0.2500 0.3084
0.6499 0.7500 0.6916
0.8501 0.2500 0.1916
0.0661 0.5016 0.6629
0.0661 0.9984 0.6629
0.1003 0.7500 0.0751
0.2247 0.0004 0.3580
0.2247 0.4996 0.3580
0.2753 0.9996 0.8580
0.2753 0.5004 0.8580
0.3997 0.2500 0.5751
0.4339 0.0016 0.1629
0.4339 0.4984 0.1629
0.5661 0.5016 0.8371
0.5661 0.9984 0.8371
0.6003 0.7500 0.4249
0.7247 0.0004 0.1420
0.7247 0.4996 0.1420
0.7753 0.9996 0.6420
0.7753 0.5004 0.6420
0.8997 0.2500 0.9249
0.9339 0.0016 0.3371
0.9339 0.4984 0.3371
```


Please write out number 4 again, unchanged.
Starting from the GGA-PBE geometry in the Materials Project, the XRD peak list of BaDy2ZnO5 was calculated for copper Kα.
Kinematic intensities with the Lorentz-polarization factor, no thermal factor.

Top 12 peaks for 10 to 80 degrees two-theta, by intensity:
Position (°2θ)	I/Imax
29.32	100
30.29	82
31.05	54
44.71	33
31.35	22
54.19	22
32.74	20
36.67	18
40.93	18
58.35	17
54.76	16
46.00	15

Atomic structure:
```
BaDy2ZnO5
1.0
12.4454 0.0000 0.0000
0.0000 5.7605 0.0000
0.0000 0.0000 7.1500
Ba Dy Zn O
4 8 4 20
Direct
0.1015 0.2500 0.0771
0.3985 0.7500 0.5771
0.6015 0.2500 0.4229
0.8985 0.7500 0.9229
0.0744 0.7500 0.3997
0.2080 0.2500 0.6183
0.2920 0.7500 0.1183
0.4256 0.2500 0.8997
0.5744 0.7500 0.1003
0.7080 0.2500 0.8817
0.7920 0.7500 0.3817
0.9256 0.2500 0.6003
0.1499 0.7500 0.8084
0.3501 0.2500 0.3084
0.6499 0.7500 0.6916
0.8501 0.2500 0.1916
0.0661 0.5016 0.6629
0.0661 0.9984 0.6629
0.1003 0.7500 0.0751
0.2247 0.0004 0.3580
0.2247 0.4996 0.3580
0.2753 0.9996 0.8580
0.2753 0.5004 0.8580
0.3997 0.2500 0.5751
0.4339 0.0016 0.1629
0.4339 0.4984 0.1629
0.5661 0.5016 0.8371
0.5661 0.9984 0.8371
0.6003 0.7500 0.4249
0.7247 0.0004 0.1420
0.7247 0.4996 0.1420
0.7753 0.9996 0.6420
0.7753 0.5004 0.6420
0.8997 0.2500 0.9249
0.9339 0.0016 0.3371
0.9339 0.4984 0.3371
```